Ho5GaNi: computed powder diffraction line list (Cu Kα, 1.54184 Å), based on a DFT-relaxed cell (PBE, Alexandria).
Neutral-atom scattering factors, no anomalous dispersion.

Structural model:
Lattice parameters (Å, degrees): 5.866 5.866 11.376 102.08 102.08 75.15
Element x y z (fractional)
1 Ho 0.018 0.982 0.750
2 Ho 0.077 0.425 0.130
3 Ho 0.218 0.550 0.442
4 Ho 0.425 0.077 0.630
5 Ho 0.450 0.782 0.058
6 Ho 0.550 0.218 0.942
7 Ho 0.575 0.923 0.370
8 Ho 0.782 0.450 0.558
9 Ho 0.923 0.575 0.870
10 Ho 0.982 0.018 0.250
11 Ga 0.423 0.577 0.750
12 Ga 0.577 0.423 0.250
13 Ni 0.000 0.000 0.000
14 Ni 0.000 0.000 0.500

Top 10 peaks for 2θ from 10° to 90°, by intensity:
2θ/deg	Rel. int.
33.49	100
31.35	69
31.46	63
31.69	48
32.01	41
35.09	34
26.20	26
39.09	26
54.54	25
41.48	21

Ho2GaNi16: computed powder diffraction line list (Cu Kα, 1.54184 Å), based on a DFT-relaxed cell (PBE, Alexandria).
Neutral-atom scattering factors, no anomalous dispersion.

Structural model:
Lattice parameters (Å, degrees): 6.264 6.264 6.264 82.77 82.77 82.77
Element x y z (fractional)
1 Ho 0.000 0.000 0.000
2 Ho 0.314 0.314 0.314
3 Ga 0.567 0.567 0.567
4 Ni 0.004 0.004 0.505
5 Ni 0.004 0.505 0.004
6 Ni 0.161 0.659 0.659
7 Ni 0.314 0.314 0.815
8 Ni 0.314 0.815 0.314
9 Ni 0.362 0.660 0.959
10 Ni 0.362 0.959 0.660
11 Ni 0.505 0.004 0.004
12 Ni 0.659 0.161 0.659
13 Ni 0.659 0.659 0.161
14 Ni 0.660 0.362 0.959
15 Ni 0.660 0.959 0.362
16 Ni 0.762 0.762 0.762
17 Ni 0.815 0.314 0.314
18 Ni 0.959 0.362 0.660
19 Ni 0.959 0.660 0.362

Top 10 peaks for 2θ from 10° to 90°, by intensity:
2θ/deg	Rel. int.
43.99	100
43.72	60
44.81	47
37.62	43
30.90	34
38.87	28
64.39	24
49.45	21
63.73	21
72.32	19

Ho2Ga12Ni: computed powder diffraction line list (Cu Kα, 1.54184 Å), based on a DFT-relaxed cell (PBE, Alexandria).
Neutral-atom scattering factors, no anomalous dispersion.

Structural model:
Lattice parameters (Å, degrees): 6.034 6.034 15.257 90.00 90.00 90.00
Element x y z (fractional)
1 Ho 0.250 0.750 0.240
2 Ho 0.250 0.750 0.760
3 Ho 0.750 0.250 0.240
4 Ho 0.750 0.250 0.760
5 Ga 0.000 0.000 0.085
6 Ga 0.000 0.000 0.915
7 Ga 0.000 0.500 0.085
8 Ga 0.000 0.500 0.915
9 Ga 0.084 0.584 0.430
10 Ga 0.084 0.916 0.570
11 Ga 0.250 0.250 0.186
12 Ga 0.250 0.250 0.344
13 Ga 0.250 0.250 0.656
14 Ga 0.250 0.250 0.814
15 Ga 0.416 0.584 0.570
16 Ga 0.416 0.916 0.430
17 Ga 0.500 0.000 0.085
18 Ga 0.500 0.000 0.915
19 Ga 0.500 0.500 0.085
20 Ga 0.500 0.500 0.915
21 Ga 0.584 0.084 0.570
22 Ga 0.584 0.416 0.430
23 Ga 0.750 0.750 0.186
24 Ga 0.750 0.750 0.344
25 Ga 0.750 0.750 0.656
26 Ga 0.750 0.750 0.814
27 Ga 0.916 0.084 0.430
28 Ga 0.916 0.416 0.570
29 Ni 0.250 0.750 0.000
30 Ni 0.750 0.250 0.000

Top 10 peaks for 2θ from 10° to 90°, by intensity:
2θ/deg	Rel. int.
31.90	100
42.37	60
31.46	57
41.34	37
38.03	30
53.71	29
69.71	25
35.29	24
42.12	22
76.82	18

HoGaNi6: computed powder diffraction line list (Cu Kα, 1.54184 Å), based on a DFT-relaxed cell (PBE, Alexandria).
Neutral-atom scattering factors, no anomalous dispersion.

Structural model:
Lattice parameters (Å, degrees): 3.780 3.780 7.971 90.00 90.00 90.00
Element x y z (fractional)
1 Ho 0.000 0.000 0.000
2 Ga 0.000 0.000 0.500
3 Ni 0.000 0.500 0.318
4 Ni 0.000 0.500 0.682
5 Ni 0.500 0.000 0.318
6 Ni 0.500 0.000 0.682
7 Ni 0.500 0.500 0.141
8 Ni 0.500 0.500 0.859

Top 10 peaks for 2θ from 10° to 90°, by intensity:
2θ/deg	Rel. int.
40.64	100
32.65	87
48.15	82
35.42	80
51.87	42
59.39	31
48.30	31
73.46	29
41.55	27
70.46	25

HoGa3NiOs: computed powder diffraction line list (Cu Kα, 1.54184 Å), based on a DFT-relaxed cell (PBE, Alexandria).
Neutral-atom scattering factors, no anomalous dispersion.

Structural model:
Lattice parameters (Å, degrees): 6.524 6.524 5.543 90.00 90.00 106.97
Element x y z (fractional)
1 Ho 0.205 0.795 0.750
2 Ho 0.795 0.205 0.250
3 Ga 0.250 0.250 0.000
4 Ga 0.250 0.250 0.500
5 Ga 0.313 0.687 0.250
6 Ga 0.687 0.313 0.750
7 Ga 0.750 0.750 0.000
8 Ga 0.750 0.750 0.500
9 Ni 0.466 0.534 0.750
10 Ni 0.534 0.466 0.250
11 Os 0.083 0.917 0.250
12 Os 0.917 0.083 0.750

Top 10 peaks for 2θ from 10° to 90°, by intensity:
2θ/deg	Rel. int.
39.97	100
32.37	71
44.81	69
22.91	61
37.97	54
14.19	39
46.80	32
61.78	26
66.42	20
28.61	20

HoScGa2Ni2: computed powder diffraction line list (Cu Kα, 1.54184 Å), based on a DFT-relaxed cell (PBE, Alexandria).
Neutral-atom scattering factors, no anomalous dispersion.

Structural model:
Lattice parameters (Å, degrees): 4.259 4.259 6.560 90.00 90.00 120.00
Element x y z (fractional)
1 Ho 0.000 0.000 0.000
2 Sc 0.000 0.000 0.500
3 Ga 0.333 0.667 0.281
4 Ga 0.667 0.333 0.719
5 Ni 0.333 0.667 0.714
6 Ni 0.667 0.333 0.286

Top 10 peaks for 2θ from 10° to 90°, by intensity:
2θ/deg	Rel. int.
36.66	100
42.45	69
27.75	40
57.31	26
73.86	24
72.79	17
60.71	16
77.66	11
41.29	8
51.47	8

Ho2GaSi3Ni4: computed powder diffraction line list (Cu Kα, 1.54184 Å), based on a DFT-relaxed cell (PBE, Alexandria).
Neutral-atom scattering factors, no anomalous dispersion.

Structural model:
Lattice parameters (Å, degrees): 3.973 3.973 9.598 90.00 90.00 90.00
Element x y z (fractional)
1 Ho 0.000 0.500 0.248
2 Ho 0.500 0.000 0.752
3 Ga 0.000 0.000 0.500
4 Si 0.000 0.500 0.874
5 Si 0.500 0.000 0.126
6 Si 0.500 0.500 0.500
7 Ni 0.000 0.000 0.000
8 Ni 0.000 0.500 0.637
9 Ni 0.500 0.000 0.363
10 Ni 0.500 0.500 0.000

Top 10 peaks for 2θ from 10° to 90°, by intensity:
2θ/deg	Rel. int.
37.08	100
36.04	62
45.67	46
24.25	31
59.51	28
52.98	25
78.74	21
72.49	19
31.85	18
66.57	14

SmHoGa2Ni2: computed powder diffraction line list (Cu Kα, 1.54184 Å), based on a DFT-relaxed cell (PBE, Alexandria).
Neutral-atom scattering factors, no anomalous dispersion.

Structural model:
Lattice parameters (Å, degrees): 4.269 4.269 7.277 90.00 90.00 120.00
Element x y z (fractional)
1 Sm 0.000 0.000 0.000
2 Ho 0.000 0.000 0.500
3 Ga 0.333 0.667 0.263
4 Ga 0.667 0.333 0.737
5 Ni 0.333 0.667 0.733
6 Ni 0.667 0.333 0.267

Top 10 peaks for 2θ from 10° to 90°, by intensity:
2θ/deg	Rel. int.
34.59	100
42.35	49
55.79	25
72.46	23
67.67	22
24.07	19
50.15	9
77.46	8
83.98	7
56.37	4

Ho2Ga3Ni4Sn: computed powder diffraction line list (Cu Kα, 1.54184 Å), based on a DFT-relaxed cell (PBE, Alexandria).
Neutral-atom scattering factors, no anomalous dispersion.

Structural model:
Lattice parameters (Å, degrees): 4.089 4.089 10.180 90.00 90.00 90.00
Element x y z (fractional)
1 Ho 0.000 0.500 0.240
2 Ho 0.500 0.000 0.760
3 Ga 0.000 0.500 0.877
4 Ga 0.500 0.000 0.123
5 Ga 0.500 0.500 0.500
6 Ni 0.000 0.000 0.000
7 Ni 0.000 0.500 0.648
8 Ni 0.500 0.000 0.352
9 Ni 0.500 0.500 0.000
10 Sn 0.000 0.000 0.500

Top 10 peaks for 2θ from 10° to 90°, by intensity:
2θ/deg	Rel. int.
35.72	100
34.34	54
44.31	50
57.23	25
50.05	24
75.93	22
69.04	18
64.46	16
30.93	12
63.59	12

HoZnGa2Ni4: computed powder diffraction line list (Cu Kα, 1.54184 Å), based on a DFT-relaxed cell (PBE, Alexandria).
Neutral-atom scattering factors, no anomalous dispersion.

Structural model:
Lattice parameters (Å, degrees): 8.403 8.403 8.403 28.03 28.03 28.03
Element x y z (fractional)
1 Ho 0.000 0.000 0.000
2 Zn 0.500 0.500 0.500
3 Ga 0.242 0.242 0.242
4 Ga 0.758 0.758 0.758
5 Ni 0.130 0.130 0.130
6 Ni 0.403 0.403 0.403
7 Ni 0.597 0.597 0.597
8 Ni 0.870 0.870 0.870

Top 10 peaks for 2θ from 10° to 90°, by intensity:
2θ/deg	Rel. int.
44.53	100
39.25	94
60.83	25
78.45	23
31.40	21
36.40	18
29.33	17
26.34	16
82.02	16
65.12	14

Ho2GaPbO6: computed powder diffraction line list (Cu Kα, 1.54184 Å), based on a DFT-relaxed cell (PBE, Alexandria).
Neutral-atom scattering factors, no anomalous dispersion.

Structural model:
Lattice parameters (Å, degrees): 5.294 5.294 5.366 90.00 90.00 90.00
Element x y z (fractional)
1 Ho 0.000 0.500 0.000
2 Ho 0.500 0.000 0.000
3 Ga 0.000 0.000 0.611
4 Pb 0.500 0.500 0.562
5 O 0.000 0.000 0.264
6 O 0.237 0.237 0.771
7 O 0.237 0.763 0.771
8 O 0.500 0.500 0.149
9 O 0.763 0.237 0.771
10 O 0.763 0.763 0.771

Top 10 peaks for 2θ from 10° to 90°, by intensity:
2θ/deg	Rel. int.
29.09	100
33.87	34
57.69	30
48.30	26
48.65	18
16.52	11
33.40	11
41.41	10
57.07	10
60.29	9

HoUGaO6: computed powder diffraction line list (Cu Kα, 1.54184 Å), based on a DFT-relaxed cell (PBE, Alexandria).
Neutral-atom scattering factors, no anomalous dispersion.

Structural model:
Lattice parameters (Å, degrees): 5.336 5.336 9.826 90.00 90.00 120.00
Element x y z (fractional)
1 Ho 0.000 0.000 0.000
2 Ho 0.000 0.000 0.500
3 U 0.333 0.667 0.250
4 U 0.667 0.333 0.750
5 Ga 0.333 0.667 0.750
6 Ga 0.667 0.333 0.250
7 O 0.010 0.354 0.637
8 O 0.010 0.656 0.863
9 O 0.344 0.354 0.863
10 O 0.344 0.990 0.637
11 O 0.354 0.010 0.137
12 O 0.354 0.344 0.363
13 O 0.646 0.656 0.637
14 O 0.646 0.990 0.863
15 O 0.656 0.010 0.363
16 O 0.656 0.646 0.137
17 O 0.990 0.344 0.137
18 O 0.990 0.646 0.363

Top 10 peaks for 2θ from 10° to 90°, by intensity:
2θ/deg	Rel. int.
26.48	100
33.58	57
50.50	48
21.25	28
43.27	27
55.87	26
60.06	19
72.42	12
80.40	11
82.24	11

Ho4Ga12Os: computed powder diffraction line list (Cu Kα, 1.54184 Å), based on a DFT-relaxed cell (PBE, Alexandria).
Neutral-atom scattering factors, no anomalous dispersion.

Structural model:
Lattice parameters (Å, degrees): 7.447 7.447 7.447 109.47 109.47 109.47
Element x y z (fractional)
1 Ho 0.000 0.000 0.500
2 Ho 0.000 0.500 0.000
3 Ho 0.500 0.000 0.000
4 Ho 0.500 0.500 0.500
5 Ga 0.000 0.292 0.292
6 Ga 0.000 0.708 0.708
7 Ga 0.250 0.500 0.750
8 Ga 0.250 0.750 0.500
9 Ga 0.292 0.000 0.292
10 Ga 0.292 0.292 0.000
11 Ga 0.500 0.250 0.750
12 Ga 0.500 0.750 0.250
13 Ga 0.708 0.000 0.708
14 Ga 0.708 0.708 0.000
15 Ga 0.750 0.250 0.500
16 Ga 0.750 0.500 0.250
17 Os 0.000 0.000 0.000

Top 10 peaks for 2θ from 10° to 90°, by intensity:
2θ/deg	Rel. int.
36.19	100
42.03	81
29.38	53
60.95	48
72.98	30
39.20	22
52.10	17
32.94	15
76.79	15
69.08	14